Calculated powder X-ray diffraction pattern of SrLa3MnO12 for Cu Kα, from a cell relaxed with GGA+U.

```
data_SrLa3MnO12
_symmetry_space_group_name_H-M 'P 1'
_symmetry_Int_Tables_number 1
_cell_length_a 9.274
_cell_length_b 9.274
_cell_length_c 9.274
_cell_angle_alpha 33.53
_cell_angle_beta 33.53
_cell_angle_gamma 33.53
loop_
_symmetry_equiv_pos_as_xyz
'x,y,z'
loop_
_atom_site_label
_atom_site_type_symbol
_atom_site_fract_x
_atom_site_fract_y
_atom_site_fract_z
_atom_site_occupancy
Sr1 Sr 0.000 0.000 0.000 1
La1 La 0.245 0.245 0.245 1
La2 La 0.496 0.496 0.496 1
La3 La 0.749 0.749 0.749 1
Mn1 Mn 0.627 0.627 0.627 1
O1 O 0.249 0.249 0.757 1
O2 O 0.249 0.757 0.249 1
O3 O 0.261 0.736 0.736 1
O4 O 0.484 0.997 0.997 1
O5 O 0.496 0.496 0.993 1
O6 O 0.496 0.993 0.496 1
O7 O 0.736 0.261 0.736 1
O8 O 0.736 0.736 0.261 1
O9 O 0.757 0.249 0.249 1
O10 O 0.993 0.496 0.496 1
O11 O 0.997 0.484 0.997 1
O12 O 0.997 0.997 0.484 1
```

Most intense lines, 2θ = 5–70°, by angle:
- 19.45°, I = 8
- 20.32°, I = 7
- 23.51°, I = 71
- 33.49°, I = 100
- 41.32°, I = 63
- 48.09°, I = 40
- 54.20°, I = 32
- 59.87°, I = 38